No. 1
Starting from a cell relaxed with PBE, the powder XRD pattern of ErNiAs was computed for Cu Kα (λ = 1.5418 Å).

Cell and atoms:
Unit cell a=4.034 b=4.034 c=15.271 alpha=90.00 beta=90.00 gamma=120.00
Atoms (fractional coordinates):
Er 0.000 0.000 0.000
Er 0.000 0.000 0.250
Er 0.000 0.000 0.500
Er 0.000 0.000 0.750
Ni 0.333 0.667 0.136
Ni 0.333 0.667 0.364
Ni 0.667 0.333 0.636
Ni 0.667 0.333 0.864
As 0.333 0.667 0.620
As 0.333 0.667 0.880
As 0.667 0.333 0.120
As 0.667 0.333 0.380

Principal peaks in the range 10 to 90 degrees two-theta, in order of falling intensity:
| two_theta | I_rel |
| --- | --- |
| 34.81 | 100 |
| 44.95 | 42 |
| 58.08 | 23 |
| 67.57 | 22 |
| 76.32 | 20 |
| 25.50 | 17 |

---

No. 2
Starting from a cell relaxed with PBE, the powder XRD pattern of ErAsO4 was computed for Cu Kα (λ = 1.5418 Å).

Cell and atoms:
Unit cell a=5.934 b=5.934 c=5.934 alpha=106.53 beta=106.53 gamma=115.53
Atoms (fractional coordinates):
Er 0.375 0.625 0.750
Er 0.625 0.375 0.250
As 0.125 0.875 0.250
As 0.875 0.125 0.750
O 0.129 0.696 0.433
O 0.236 0.304 0.933
O 0.304 0.236 0.433
O 0.304 0.871 0.067
O 0.696 0.129 0.933
O 0.696 0.764 0.567
O 0.764 0.696 0.067
O 0.871 0.304 0.567

Principal peaks in the range 10 to 90 degrees two-theta, in order of falling intensity:
| two_theta | I_rel |
| --- | --- |
| 25.09 | 100 |
| 33.47 | 74 |
| 49.80 | 61 |
| 35.78 | 24 |
| 18.78 | 21 |
| 62.83 | 18 |

---

No. 3
Starting from a cell relaxed with PBE, the powder XRD pattern of Er2ZnAs2O was computed for Cu Kα (λ = 1.5418 Å).

Cell and atoms:
Unit cell a=3.283 b=3.283 c=14.697 alpha=90.00 beta=90.00 gamma=90.00
Atoms (fractional coordinates):
Er 0.000 0.000 0.135
Er 0.000 0.000 0.865
Zn 0.000 0.000 0.500
As 0.000 0.000 0.340
As 0.000 0.000 0.660
O 0.000 0.000 0.000

Principal peaks in the range 10 to 90 degrees two-theta, in order of falling intensity:
| two_theta | I_rel |
| --- | --- |
| 27.16 | 100 |
| 36.71 | 39 |
| 38.79 | 39 |
| 46.25 | 34 |
| 24.22 | 22 |
| 63.35 | 19 |

---

No. 4
Starting from a cell relaxed with PBE, the powder XRD pattern of ErZnAsO was computed for Cu Kα (λ = 1.5418 Å).

Cell and atoms:
Unit cell a=3.935 b=3.935 c=8.876 alpha=90.00 beta=90.00 gamma=90.00
Atoms (fractional coordinates):
Er 0.250 0.250 0.121
Er 0.750 0.750 0.879
Zn 0.250 0.750 0.500
Zn 0.750 0.250 0.500
As 0.250 0.250 0.686
As 0.750 0.750 0.314
O 0.250 0.750 0.000
O 0.750 0.250 0.000

Principal peaks in the range 10 to 90 degrees two-theta, in order of falling intensity:
| two_theta | I_rel |
| --- | --- |
| 30.36 | 100 |
| 56.22 | 38 |
| 46.13 | 35 |
| 33.76 | 32 |
| 52.76 | 28 |
| 38.05 | 26 |